[1]
Theoretical XRD peak list of Mo2SeS3 for λ = 1.5418 Å (Cu Kα), from DFT lattice parameters and positions (GGA-PBE).

Structural model:
```
data_Mo2SeS3
_cell_length_a 3.2217
_cell_length_b 3.2217
_cell_length_c 14.1631
_cell_angle_alpha 90.00
_cell_angle_beta 90.00
_cell_angle_gamma 120.00
_symmetry_space_group_name_H-M 'P 3 m 1'
_symmetry_Int_Tables_number 156
_symmetry_space_group_name_Hall 'P 3 -2"'
loop_
_atom_site_label
_atom_site_fract_x
_atom_site_fract_y
_atom_site_fract_z
Mo1 0.0000 0.0000 0.0000
Mo2 0.3333 0.6667 0.4926
Se1 0.3333 0.6667 0.8785
S1 0.0000 0.0000 0.3827
S2 0.0000 0.0000 0.6024
S3 0.3333 0.6667 0.1087
```

Main lines, most intense first (2θ = 15–90°):
- hkl 1 0 3, d 2.402, rel. 100
- hkl 0 1 5, d 1.988, rel. 81
- hkl 1 0 0, d 2.790, rel. 44
- hkl 1 1 0, d 1.611, rel. 29
- hkl 1 0 2, d 2.596, rel. 29
- hkl 1 1 2, d 1.571, rel. 20
- hkl 1 1 8, d 1.191, rel. 18
- hkl 2 0 5, d 1.252, rel. 17

***

[2]
Theoretical XRD peak list of Mo2Se3S for λ = 1.5418 Å (Cu Kα), from DFT lattice parameters and positions (GGA-PBE).

Structural model:
```
data_Mo2Se3S
_cell_length_a 3.2875
_cell_length_b 3.2875
_cell_length_c 37.3086
_cell_angle_alpha 90.00
_cell_angle_beta 90.00
_cell_angle_gamma 120.00
_symmetry_space_group_name_H-M 'P 3 m 1'
_symmetry_Int_Tables_number 156
_symmetry_space_group_name_Hall 'P 3 -2"'
loop_
_atom_site_label
_atom_site_fract_x
_atom_site_fract_y
_atom_site_fract_z
Mo1 0.0000 0.0000 0.0000
Mo2 0.0000 0.0000 0.3757
Mo3 0.3333 0.6667 0.1879
Mo4 0.3333 0.6667 0.5636
Se1 0.0000 0.0000 0.5184
Se2 0.0000 0.0000 0.6088
Se3 0.3333 0.6667 0.0452
Se4 0.3333 0.6667 0.3305
Se5 0.3333 0.6667 0.4210
Se6 0.3333 0.6667 0.9548
S1 0.0000 0.0000 0.1467
S2 0.0000 0.0000 0.2291
```

Main lines, most intense first (2θ = 15–90°):
- hkl 0 1 8, d 2.430, rel. 100
- hkl 1 0 13, d 2.021, rel. 66
- hkl 1 0 0, d 2.846, rel. 54
- hkl 1 1 0, d 1.644, rel. 36
- hkl 0 1 14, d 1.946, rel. 21
- hkl 1 1 21, d 1.207, rel. 18
- hkl 1 0 5, d 2.660, rel. 16
- hkl 0 1 10, d 2.263, rel. 15